Dy2Er3Tm7: computed X-ray diffraction stick pattern (copper Kα), based on a PBE-relaxed structure.

Top 12 peaks for 15° ≤ 2θ ≤ 90°, in order of rising 2θ:
index  d_spacing  Rel. int.
1 1 1  2.949  531
2 0 -3  2.848  751
0 0 6  2.838  886
1 1 2  2.801  1000
2 0 3  2.598  584
1 1 -4  2.528  742
1 1 -5  2.322  225
3 1 -1  1.778  340
0 2 0  1.731  216
2 0 -9  1.698  350
3 1 -7  1.500  219
0 2 6  1.478  248

```
Dy2Er3Tm7
1.0
6.2179 0.0000 0.0000
0.0000 3.4629 0.0000
-1.8661 0.0000 17.0259
Dy Er Tm
2 3 7
Cartesian
0.0634 0.0000 2.9625
4.2883 0.0000 14.0635
1.2154 1.7314 14.3497
2.1759 0.0000 8.5130
3.1363 1.7314 2.6762
-0.9331 1.7314 8.5130
0.1539 0.0000 11.3588
-0.2783 0.0000 17.0041
1.0853 1.7314 5.7085
3.2664 1.7314 11.3174
4.6300 0.0000 0.0219
4.1979 0.0000 5.6671
```